# 1
Computed powder XRD pattern
Compound: TbSm2Dy2Y6
Radiation: Cu Kα, 1.54184 Å
Structure: a structure optimized by DFT (GGA-PBE)
No peak broadening, texture or thermal motion is included.

Most intense lines, 10° ≤ 2θ ≤ 80°, by angle:
- 30.70°, I 29
- 30.86°, I 24
- 31.47°, I 38
- 32.09°, I 100
- 33.82°, I 19
- 44.66°, I 17
- 46.87°, I 15
- 56.43°, I 20
- 62.18°, I 15
- 62.78°, I 13

```
11
Lattice="2.8425 -6.0242 0.0000 2.8425 6.0242 0.0000 -0.0101 0.0000 10.6010" Properties=species:S:1:pos:R:3 pbc="T T T"
Tb 0.0000 0.0000 0.0000
Sm 2.8374 1.6140 5.3005
Sm 2.8374 -1.6140 5.3005
Dy 2.8425 2.4805 0.0000
Dy 2.8425 -2.4805 0.0000
Y 2.8349 4.1833 3.0976
Y 2.8399 4.1833 7.5033
Y 2.8356 0.0000 2.1795
Y 2.8392 0.0000 8.4215
Y 2.8349 -4.1833 3.0976
Y 2.8399 -4.1833 7.5033
```



# 2
Computed powder XRD pattern
Compound: Tb4SmDy2Y2
Radiation: Cu Kα, 1.54184 Å
Structure: a structure optimized by DFT (GGA-PBE)
No peak broadening, texture or thermal motion is included.

Most intense lines, 10° ≤ 2θ ≤ 80°, by angle:
- 28.87°, I 41
- 31.13°, I 49
- 31.89°, I 100
- 33.59°, I 88
- 40.21°, I 16
- 50.76°, I 38
- 54.76°, I 22
- 58.06°, I 19
- 60.76°, I 44
- 61.21°, I 15

```
9
Lattice="9.3439 -1.7988 0.0000 9.3439 1.7988 0.0000 -4.1529 0.0000 8.6190" Properties=species:S:1:pos:R:3 pbc="T T T"
Tb -1.0405 0.0000 2.8774
Tb 3.1182 0.0000 5.7358
Tb 11.4168 0.0000 2.8832
Tb 15.5754 0.0000 5.7416
Sm 9.3439 0.0000 0.0000
Dy 3.1230 0.0000 0.0129
Dy 11.4120 0.0000 8.6061
Y 5.1973 0.0000 2.8708
Y 9.3377 0.0000 5.7482
```



# 3
Computed powder XRD pattern
Compound: TbSmDy2Y2
Radiation: Cu Kα, 1.54184 Å
Structure: a structure optimized by DFT (GGA-PBE)
No peak broadening, texture or thermal motion is included.

Most intense lines, 10° ≤ 2θ ≤ 80°, by angle:
- 16.76°, I 39
- 26.72°, I 34
- 28.90°, I 100
- 29.59°, I 30
- 30.22°, I 81
- 30.35°, I 72
- 31.30°, I 57
- 33.89°, I 85
- 35.98°, I 48
- 41.10°, I 65

```
12
Lattice="6.5903 0.0000 0.0000 0.0000 17.7431 0.0000 0.0000 0.0000 3.3966" Properties=species:S:1:pos:R:3 pbc="T T T"
Tb 0.0000 0.0000 0.0000
Tb 3.2951 8.8715 1.6983
Sm 0.0000 8.8715 0.0000
Sm 3.2951 0.0000 1.6983
Dy 1.5258 6.2490 1.6983
Dy 1.7693 15.1206 0.0000
Dy 4.8210 2.6225 0.0000
Dy 5.0645 11.4941 1.6983
Y 1.5321 3.2572 0.0000
Y 1.7630 12.1288 1.6983
Y 4.8273 5.6143 1.6983
Y 5.0582 14.4859 0.0000
```